Record 1
For LiVP2O7, a crystal structure in the Materials Project, relaxed with PBE+U gives the calculated powder diffractogram in this record (Cu Kα X-rays).

Most intense lines, 2θ from 5° to 70°, in order of rising 2θ:
2θ/deg	Rel. int.
18.55	57
21.14	30
21.65	28
23.43	21
29.00	68
29.31	100
30.74	64
34.99	14
42.27	16
44.36	31
47.93	15
49.66	15

Atomic structure:
Unit cell a=6.536 b=8.405 c=9.076 alpha=90.01 beta=102.75 gamma=90.14
Fractional positions:
Li1 0.000 0.000 0.000
Li2 0.001 0.603 0.500
Li3 0.499 0.500 0.000
Li4 0.501 0.103 0.499
V1 0.482 0.125 0.010
V2 0.482 0.479 0.510
V3 0.981 0.979 0.511
V4 0.982 0.625 0.010
P1 0.197 0.299 0.711
P2 0.197 0.305 0.210
P3 0.263 0.795 0.307
P4 0.263 0.809 0.806
P5 0.698 0.799 0.711
P6 0.698 0.805 0.210
P7 0.762 0.310 0.806
P8 0.763 0.295 0.306
O1 0.111 0.800 0.651
O2 0.112 0.803 0.151
O3 0.175 0.146 0.617
O4 0.178 0.458 0.116
O5 0.228 0.158 0.116
O6 0.228 0.445 0.617
O7 0.250 0.658 0.900
O8 0.253 0.945 0.401
O9 0.255 0.640 0.395
O10 0.255 0.964 0.895
O11 0.364 0.292 0.859
O12 0.364 0.312 0.359
O13 0.488 0.821 0.767
O14 0.489 0.781 0.267
O15 0.611 0.301 0.650
O16 0.611 0.303 0.150
O17 0.677 0.957 0.116
O18 0.678 0.646 0.617
O19 0.729 0.658 0.117
O20 0.729 0.946 0.617
O21 0.750 0.159 0.900
O22 0.751 0.445 0.400
O23 0.754 0.140 0.395
O24 0.754 0.464 0.895
O25 0.864 0.792 0.860
O26 0.865 0.813 0.359
O27 0.987 0.322 0.767
O28 0.988 0.283 0.266

=====

Record 2
For LiV2P2O9, a crystal structure in the Materials Project, relaxed with PBE+U gives the calculated powder diffractogram in this record (Cu Kα X-rays).

Most intense lines, 2θ from 5° to 70°, in order of rising 2θ:
2θ/deg	Rel. int.
12.70	61
17.15	78
18.04	33
19.14	55
22.13	52
23.94	100
27.96	29
28.10	30
30.12	31
31.00	65
34.20	24
56.60	30

Atomic structure:
Unit cell a=13.938 b=6.382 c=7.713 alpha=90.00 beta=90.00 gamma=90.00
Fractional positions:
Li1 0.234 0.250 0.047
Li2 0.266 0.750 0.547
Li3 0.734 0.250 0.453
Li4 0.766 0.750 0.953
V1 0.000 0.000 0.000
V2 0.000 0.500 0.000
V3 0.119 0.250 0.650
V4 0.381 0.750 0.150
V5 0.500 0.000 0.500
V6 0.500 0.500 0.500
V7 0.619 0.250 0.850
V8 0.881 0.750 0.350
P1 0.064 0.750 0.648
P2 0.192 0.750 0.116
P3 0.308 0.250 0.616
P4 0.436 0.250 0.148
P5 0.564 0.750 0.852
P6 0.692 0.750 0.384
P7 0.808 0.250 0.884
P8 0.936 0.250 0.352
O1 0.016 0.250 0.485
O2 0.018 0.750 0.834
O3 0.053 0.250 0.853
O4 0.131 0.547 0.097
O5 0.131 0.560 0.634
O6 0.131 0.940 0.634
O7 0.131 0.953 0.097
O8 0.225 0.250 0.479
O9 0.249 0.250 0.788
O10 0.251 0.750 0.288
O11 0.275 0.750 0.979
O12 0.369 0.047 0.597
O13 0.369 0.060 0.134
O14 0.369 0.440 0.134
O15 0.369 0.453 0.597
O16 0.447 0.750 0.353
O17 0.482 0.250 0.334
O18 0.484 0.750 0.985
O19 0.516 0.250 0.015
O20 0.518 0.750 0.666
O21 0.553 0.250 0.647
O22 0.631 0.547 0.403
O23 0.631 0.560 0.866
O24 0.631 0.940 0.866
O25 0.631 0.953 0.403
O26 0.725 0.250 0.021
O27 0.749 0.250 0.712
O28 0.751 0.750 0.212
O29 0.775 0.750 0.521
O30 0.869 0.047 0.903
O31 0.869 0.060 0.366
O32 0.869 0.440 0.366
O33 0.869 0.453 0.903
O34 0.947 0.750 0.147
O35 0.982 0.250 0.166
O36 0.984 0.750 0.515

=====

Please write out number 1 again, unchanged.
For LiVP2O7, a crystal structure in the Materials Project, relaxed with PBE+U gives the calculated powder diffractogram in this record (Cu Kα X-rays).

Most intense lines, 2θ from 5° to 70°, in order of rising 2θ:
2θ/deg	Rel. int.
18.55	57
21.14	30
21.65	28
23.43	21
29.00	68
29.31	100
30.74	64
34.99	14
42.27	16
44.36	31
47.93	15
49.66	15

Atomic structure:
Unit cell a=6.536 b=8.405 c=9.076 alpha=90.01 beta=102.75 gamma=90.14
Fractional positions:
Li1 0.000 0.000 0.000
Li2 0.001 0.603 0.500
Li3 0.499 0.500 0.000
Li4 0.501 0.103 0.499
V1 0.482 0.125 0.010
V2 0.482 0.479 0.510
V3 0.981 0.979 0.511
V4 0.982 0.625 0.010
P1 0.197 0.299 0.711
P2 0.197 0.305 0.210
P3 0.263 0.795 0.307
P4 0.263 0.809 0.806
P5 0.698 0.799 0.711
P6 0.698 0.805 0.210
P7 0.762 0.310 0.806
P8 0.763 0.295 0.306
O1 0.111 0.800 0.651
O2 0.112 0.803 0.151
O3 0.175 0.146 0.617
O4 0.178 0.458 0.116
O5 0.228 0.158 0.116
O6 0.228 0.445 0.617
O7 0.250 0.658 0.900
O8 0.253 0.945 0.401
O9 0.255 0.640 0.395
O10 0.255 0.964 0.895
O11 0.364 0.292 0.859
O12 0.364 0.312 0.359
O13 0.488 0.821 0.767
O14 0.489 0.781 0.267
O15 0.611 0.301 0.650
O16 0.611 0.303 0.150
O17 0.677 0.957 0.116
O18 0.678 0.646 0.617
O19 0.729 0.658 0.117
O20 0.729 0.946 0.617
O21 0.750 0.159 0.900
O22 0.751 0.445 0.400
O23 0.754 0.140 0.395
O24 0.754 0.464 0.895
O25 0.864 0.792 0.860
O26 0.865 0.813 0.359
O27 0.987 0.322 0.767
O28 0.988 0.283 0.266